Entry 1:
Structure and simulated powder X-ray diffraction pattern of Na2ZnAg4 (a DFT-relaxed cell (GGA-PBE, Alexandria); Cu Ka).
Intensities are scaled so that the largest is 100.

```
Na2ZnAg4
1.0
4.650 0.000 0.000
0.000 21.408 0.000
0.000 0.000 2.861
Na Zn Ag
4 2 8
Direct
0.000 0.078 0.000
0.000 0.922 0.000
0.500 0.422 0.000
0.500 0.578 0.000
0.000 0.500 0.500
0.500 0.000 0.500
0.000 0.213 0.000
0.000 0.340 0.500
0.000 0.660 0.500
0.000 0.787 0.000
0.500 0.160 0.500
0.500 0.287 0.000
0.500 0.713 0.000
0.500 0.840 0.500
```

The 8 most intense peaks (10 to 90 degrees two-theta), by angle:
2theta, Rel. int.
35.12, 100
37.14, 54
38.73, 48
39.06, 48
40.41, 37
42.70, 64
57.22, 25
76.29, 19

***

Entry 2:
Structure and simulated powder X-ray diffraction pattern of Nb5Ag (a DFT-relaxed cell (GGA-PBE, Alexandria); Cu Ka).
Intensities are scaled so that the largest is 100.

```
Nb5Ag
1.0
4.709 0.000 0.000
0.000 13.672 0.000
0.000 0.000 3.384
Nb Ag
10 2
Direct
0.000 0.000 0.000
0.000 0.163 0.500
0.000 0.327 0.000
0.000 0.673 0.000
0.000 0.837 0.500
0.500 0.173 0.000
0.500 0.337 0.500
0.500 0.500 0.000
0.500 0.663 0.500
0.500 0.827 0.000
0.000 0.500 0.500
0.500 0.000 0.500
```

The 8 most intense peaks (10 to 90 degrees two-theta), by angle:
2theta, Rel. int.
38.24, 100
39.55, 18
54.21, 7
56.18, 12
68.26, 7
69.12, 20
70.88, 12
81.86, 10

***

Entry 3:
Structure and simulated powder X-ray diffraction pattern of Nb2NiAg2Se6 (a DFT-relaxed cell (GGA-PBE, Alexandria); Cu Ka).
Intensities are scaled so that the largest is 100.

```
Nb2NiAg2Se6
1.0
3.143 -5.667 0.000
3.143 5.667 0.000
-1.260 0.000 6.767
Nb Ni Ag Se
2 1 2 6
Direct
0.130 0.870 0.000
0.870 0.130 0.000
0.500 0.500 0.000
0.141 0.859 0.500
0.859 0.141 0.500
0.145 0.482 0.803
0.238 0.238 0.256
0.482 0.145 0.803
0.518 0.855 0.197
0.762 0.762 0.744
0.855 0.518 0.197
```

The 8 most intense peaks (10 to 90 degrees two-theta), by angle:
2theta, Rel. int.
16.34, 39
27.67, 33
29.53, 85
31.87, 51
35.58, 100
40.45, 73
43.12, 37
50.46, 44